# Sr2MgV2Si4O14
Calculated powder X-ray diffraction pattern, copper Kα. Input: a crystal structure in Alexandria, relaxed with GGA+U.
No peak broadening, texture or thermal motion is included.

Atomic structure:
a b c (Å): 7.2085 9.9137 9.9137
angles (deg): 32.26 90.00 90.00
Sites, in units of the cell vectors:
Sr  0.0000  0.0000  0.0000
Sr  0.5000  0.2523  0.2523
Mg  0.5000  0.4488  0.4488
V  0.0000  0.2164  0.2164
V  0.5000  0.0380  0.0380
Si  0.2235  0.5475  0.5475
Si  0.2721  0.7157  0.7157
Si  0.7279  0.7157  0.7157
Si  0.7765  0.5475  0.5475
O  0.0000  0.1283  0.1283
O  0.0000  0.5273  0.5273
O  0.1922  0.0010  0.4904
O  0.1922  0.4904  0.0010
O  0.2539  0.6299  0.6299
O  0.3067  0.2694  0.7414
O  0.3067  0.7414  0.2694
O  0.5000  0.1301  0.1301
O  0.5000  0.7360  0.7360
O  0.6933  0.2694  0.7414
O  0.6933  0.7414  0.2694
O  0.7461  0.6299  0.6299
O  0.8078  0.0010  0.4904
O  0.8078  0.4904  0.0010

Main lines, sorted by position (10° ≤ 2θ ≤ 90°):
2θ/deg	I/Imax
18.63	100
30.00	82
31.12	27
32.51	21
37.77	12
38.05	20
41.25	18
45.62	22
47.73	18
57.16	13